[1]
Structure and calculated XRD peak list of Na3In7Au2 (a PBE-relaxed structure; a wavelength of 1.5418 Å).

Cell and atoms:
abc: 6.3104 6.3104 28.0729
angles: 90.00 90.00 120.00
Space group R-3m (No. 166, hexagonal axes)
Inequivalent atoms, fractional coordinates:
Na (0.0000, 0.0000, 0.0000) x3
Na (0.0000, 0.0000, 0.1429) x6
In (0.0000, 0.0000, 0.5000) x3
In (0.0100, 0.5050, 0.9202) x18
Au (0.0000, 0.0000, 0.3363) x6

Top 12 peaks for 2θ = 15–90°, by angle:
2θ (°)	intensity
16.5	96.9
17.4	16.9
28.3	16.3
34.3	100.0
36.6	45.7
38.5	27.3
39.9	45.5
44.0	19.6
54.0	27.2
58.5	27.0
72.2	24.7
83.7	15.3


[2]
Structure and calculated XRD peak list of Na2In5Au6 (a PBE-relaxed structure; a wavelength of 1.5418 Å).

Cell and atoms:
abc: 9.450 9.450 9.450
angles: 90.00 90.00 90.00
Space group Pm-3 (No. 200)
Inequivalent atoms, fractional coordinates:
Na (0.000, 0.328, 0.500) x6
In (0.000, 0.500, 0.165) x6
In (0.216, 0.216, 0.216) x8
In (0.500, 0.500, 0.500) x1
Au (0.000, 0.000, 0.240) x6
Au (0.240, 0.500, 0.328) x12

Top 12 peaks for 2θ = 15–90°, by angle:
2θ (°)	intensity
21.0	26.0
23.1	10.7
28.3	14.8
34.2	19.8
35.5	35.7
38.1	41.4
39.3	100.0
40.5	13.3
42.8	12.8
60.4	13.7
66.4	11.0
69.7	18.2